# 1
For Pr2Dy2BrNCl4, DFT lattice parameters and positions (PBE) gives the calculated X-ray diffraction stick pattern in this record (λ = 1.5418 Å (Cu Kα)).
Kinematic intensities with the Lorentz-polarization factor, no thermal factor.

Principal peaks in the range 2θ from 15° to 90°, sorted by position:
29.43°, I 21
32.30°, I 39
32.79°, I 100
35.69°, I 25
46.01°, I 21
47.38°, I 24

Crystal structure
```
data_Pr2Dy2BrNCl4
_symmetry_space_group_name_H-M 'P 1'
_symmetry_Int_Tables_number 1
_cell_length_a 8.8380
_cell_length_b 8.8380
_cell_length_c 8.0270
_cell_angle_alpha 105.40
_cell_angle_beta 105.40
_cell_angle_gamma 24.35
loop_
_symmetry_equiv_pos_as_xyz
'x,y,z'
loop_
_atom_site_label
_atom_site_type_symbol
_atom_site_fract_x
_atom_site_fract_y
_atom_site_fract_z
Pr1 Pr 0.1484 0.1484 0.0886
Pr2 Pr 0.8516 0.8516 0.9114
Dy1 Dy 0.4994 0.4994 0.2004
Dy2 Dy 0.5006 0.5006 0.7996
Br1 Br 0.0000 0.0000 0.5000
N1 N 0.0000 0.0000 0.0000
Cl1 Cl 0.3350 0.3350 0.1748
Cl2 Cl 0.3407 0.3407 0.6409
Cl3 Cl 0.6593 0.6593 0.3591
Cl4 Cl 0.6650 0.6650 0.8252
```

---

# 2
For DyHoMg6, DFT lattice parameters and positions (PBE) gives the calculated X-ray diffraction stick pattern in this record (λ = 1.5418 Å (Cu Kα)).
Kinematic intensities with the Lorentz-polarization factor, no thermal factor.

Principal peaks in the range 2θ from 15° to 90°, sorted by position:
21.08°, I 100
24.34°, I 35
34.69°, I 45
34.79°, I 89
40.94°, I 37
62.24°, I 32

Crystal structure
```
data_DyHoMg6
_symmetry_space_group_name_H-M 'P 1'
_symmetry_Int_Tables_number 1
_cell_length_a 5.1714
_cell_length_b 7.2738
_cell_length_c 5.1725
_cell_angle_alpha 90.00
_cell_angle_beta 90.00
_cell_angle_gamma 90.00
loop_
_symmetry_equiv_pos_as_xyz
'x,y,z'
loop_
_atom_site_label
_atom_site_type_symbol
_atom_site_fract_x
_atom_site_fract_y
_atom_site_fract_z
Dy1 Dy 0.0000 0.0000 0.0000
Ho1 Ho 0.5000 0.5000 0.5095
Mg1 Mg 0.0000 0.2501 0.4996
Mg2 Mg 0.0000 0.5000 0.0006
Mg3 Mg 0.0000 0.7499 0.4996
Mg4 Mg 0.5000 0.0000 0.5089
Mg5 Mg 0.5000 0.2502 0.0099
Mg6 Mg 0.5000 0.7498 0.0099
```

---

# 3
For ZnPd18, DFT lattice parameters and positions (PBE) gives the calculated X-ray diffraction stick pattern in this record (λ = 1.5418 Å (Cu Kα)).
Kinematic intensities with the Lorentz-polarization factor, no thermal factor.

Principal peaks in the range 2θ from 15° to 90°, sorted by position:
39.40°, I 100
39.41°, I 100
40.48°, I 48
45.67°, I 29
45.91°, I 84
66.76°, I 36

Crystal structure
```
data_ZnPd18
_symmetry_space_group_name_H-M 'P 1'
_symmetry_Int_Tables_number 1
_cell_length_a 5.5935
_cell_length_b 2.7954
_cell_length_c 51.6451
_cell_angle_alpha 90.00
_cell_angle_beta 90.00
_cell_angle_gamma 90.00
loop_
_symmetry_equiv_pos_as_xyz
'x,y,z'
loop_
_atom_site_label
_atom_site_type_symbol
_atom_site_fract_x
_atom_site_fract_y
_atom_site_fract_z
Zn1 Zn 0.1250 0.2500 0.3547
Zn2 Zn 0.8750 0.7500 0.6453
Pd1 Pd 0.1239 0.2500 0.7525
Pd2 Pd 0.1250 0.2500 0.0569
Pd3 Pd 0.1250 0.2500 0.1328
Pd4 Pd 0.1250 0.2500 0.2091
Pd5 Pd 0.1250 0.2500 0.2863
Pd6 Pd 0.1251 0.2500 0.8291
Pd7 Pd 0.1250 0.2500 0.9052
Pd8 Pd 0.1250 0.2500 0.9810
Pd9 Pd 0.1344 0.2500 0.6751
Pd10 Pd 0.3739 0.7500 0.2475
Pd11 Pd 0.3750 0.7500 0.0190
Pd12 Pd 0.3750 0.7500 0.0948
Pd13 Pd 0.3751 0.7500 0.1709
Pd14 Pd 0.3750 0.7500 0.7142
Pd15 Pd 0.3750 0.7500 0.7908
Pd16 Pd 0.3750 0.7500 0.8672
Pd17 Pd 0.3750 0.7500 0.9431
Pd18 Pd 0.3843 0.7500 0.3249
Pd19 Pd 0.6157 0.2500 0.6751
Pd20 Pd 0.6250 0.2500 0.0569
Pd21 Pd 0.6250 0.2500 0.1328
Pd22 Pd 0.6250 0.2500 0.2092
Pd23 Pd 0.6250 0.2500 0.2858
Pd24 Pd 0.6249 0.2500 0.8291
Pd25 Pd 0.6250 0.2500 0.9052
Pd26 Pd 0.6250 0.2500 0.9810
Pd27 Pd 0.6261 0.2500 0.7525
Pd28 Pd 0.8656 0.7500 0.3249
Pd29 Pd 0.8750 0.7500 0.0190
Pd30 Pd 0.8750 0.7500 0.0948
Pd31 Pd 0.8749 0.7500 0.1709
Pd32 Pd 0.8750 0.7500 0.7137
Pd33 Pd 0.8750 0.7500 0.7909
Pd34 Pd 0.8750 0.7500 0.8672
Pd35 Pd 0.8750 0.7500 0.9431
Pd36 Pd 0.8761 0.7500 0.2475
```

---

# 4
For Hf4CdC2S, DFT lattice parameters and positions (PBE) gives the calculated X-ray diffraction stick pattern in this record (λ = 1.5418 Å (Cu Kα)).
Kinematic intensities with the Lorentz-polarization factor, no thermal factor.

Principal peaks in the range 2θ from 15° to 90°, sorted by position:
30.95°, I 30
33.72°, I 18
36.93°, I 100
55.05°, I 27
63.67°, I 19
68.14°, I 17

Crystal structure
```
data_Hf4CdC2S
_symmetry_space_group_name_H-M 'P 1'
_symmetry_Int_Tables_number 1
_cell_length_a 3.3366
_cell_length_b 3.3366
_cell_length_c 13.5538
_cell_angle_alpha 90.00
_cell_angle_beta 90.00
_cell_angle_gamma 120.00
loop_
_symmetry_equiv_pos_as_xyz
'x,y,z'
loop_
_atom_site_label
_atom_site_type_symbol
_atom_site_fract_x
_atom_site_fract_y
_atom_site_fract_z
Hf1 Hf 0.0000 0.0000 0.1347
Hf2 Hf 0.0000 0.0000 0.8653
Hf3 Hf 0.6667 0.3333 0.3149
Hf4 Hf 0.6667 0.3333 0.6851
Cd1 Cd 0.0000 0.0000 0.5000
C1 C 0.3333 0.6667 0.2259
C2 C 0.3333 0.6667 0.7741
S1 S 0.6667 0.3333 0.0000
```

---

# 5
For Co8PdS8, DFT lattice parameters and positions (PBE) gives the calculated X-ray diffraction stick pattern in this record (λ = 1.5418 Å (Cu Kα)).
Kinematic intensities with the Lorentz-polarization factor, no thermal factor.

Principal peaks in the range 2θ from 15° to 90°, sorted by position:
29.71°, I 100
47.36°, I 34
51.86°, I 89
60.91°, I 12
72.85°, I 21
76.40°, I 13

Crystal structure
```
data_Co8PdS8
_symmetry_space_group_name_H-M 'P 1'
_symmetry_Int_Tables_number 1
_cell_length_a 7.0521
_cell_length_b 7.0521
_cell_length_c 7.0521
_cell_angle_alpha 60.00
_cell_angle_beta 60.00
_cell_angle_gamma 60.00
loop_
_symmetry_equiv_pos_as_xyz
'x,y,z'
loop_
_atom_site_label
_atom_site_type_symbol
_atom_site_fract_x
_atom_site_fract_y
_atom_site_fract_z
Co1 Co 0.1268 0.1268 0.1268
Co2 Co 0.1268 0.1268 0.6197
Co3 Co 0.1268 0.6197 0.1268
Co4 Co 0.3803 0.8732 0.8732
Co5 Co 0.6197 0.1268 0.1268
Co6 Co 0.8732 0.3803 0.8732
Co7 Co 0.8732 0.8732 0.3803
Co8 Co 0.8732 0.8732 0.8732
Pd1 Pd 0.5000 0.5000 0.5000
S1 S 0.2500 0.2500 0.2500
S2 S 0.2511 0.2511 0.7489
S3 S 0.2511 0.7489 0.2511
S4 S 0.2511 0.7489 0.7489
S5 S 0.7489 0.2511 0.2511
S6 S 0.7489 0.2511 0.7489
S7 S 0.7489 0.7489 0.2511
S8 S 0.7500 0.7500 0.7500
```